Record 1
Computed X-ray powder pattern
Compound: Y3Ho8Tm2
Radiation: Cu Kα X-rays
Structure: a crystal structure in Alexandria, relaxed with PBE

Structure:
Unit cell a=20.0264 b=7.5938 c=5.5866 alpha=90.00 beta=90.04 gamma=90.00
Space group C2/m (No. 12)
Asymmetric unit:
Y (0.0000, 0.0000, 0.0000) x2
Y (0.0000, 0.2845, 0.5000) x4
Ho (0.1096, 0.2888, 0.0004) x8
Ho (0.1344, 0.0000, 0.4997) x4
Ho (0.1690, 0.5000, 0.5011) x4
Tm (0.2415, 0.0000, 0.9988) x4

Main lines, by angle (10° ≤ 2θ ≤ 90°):
h k l	d [Å]	2theta	I_rel
4 0 0	5.008	17.7	12
2 2 0	3.550	25.1	23
0 2 1	3.140	28.4	12
5 1 1	2.992	29.9	27
6 0 -1	2.865	31.2	36
0 0 2	2.793	32.0	42
4 2 -1	2.660	33.7	100
2 2 -2	2.195	41.1	12
8 0 -2	1.866	48.8	12
4 2 -3	1.586	58.2	21

Record 2
Computed X-ray powder pattern
Compound: YHo7Tm4
Radiation: Cu Kα X-rays
Structure: a crystal structure in Alexandria, relaxed with PBE

Structure:
Unit cell a=6.4309 b=6.7518 c=8.9346 alpha=86.00 beta=76.61 gamma=81.86
Space group P-1 (No. 2)
Asymmetric unit:
Y (0.0000, 0.0000, 0.0000) x1
Ho (0.0000, 0.5000, 0.0000) x1
Ho (0.1916, 0.1037, 0.3871) x2
Ho (0.3147, 0.7047, 0.6426) x2
Ho (0.4838, 0.2507, 0.0505) x2
Tm (0.1622, 0.6119, 0.3143) x2
Tm (0.3585, 0.1975, 0.7129) x2

Main lines, by angle (10° ≤ 2θ ≤ 90°):
h k l	d [Å]	2theta	I_rel
0 0 3	2.895	30.9	35
2 0 2	2.844	31.5	38
1 -2 0	2.797	32.0	100
2 1 2	2.764	32.4	14
2 0 -1	2.732	32.8	82
0 1 3	2.694	33.3	16
1 -1 3	2.557	35.1	14
1 -2 3	2.083	43.4	12
3 2 1	1.919	47.4	12
-3 2 1	1.589	58.1	16

Record 3
Computed X-ray powder pattern
Compound: YHo3Tm7
Radiation: Cu Kα X-rays
Structure: a crystal structure in Alexandria, relaxed with PBE

Structure:
Unit cell a=6.8871 b=5.4408 c=9.7870 alpha=90.00 beta=109.77 gamma=90.00
Space group P2/m (No. 10)
Asymmetric unit:
Y (0.0000, 0.0000, 0.0000) x1
Ho (0.2785, 0.5000, 0.4966) x2
Ho (0.5000, 0.0000, 0.0000) x1
Tm (0.0000, 0.0000, 0.5000) x1
Tm (0.1490, 0.5000, 0.7906) x2
Tm (0.3209, 0.5000, 0.1414) x2
Tm (0.4229, 0.0000, 0.3311) x2

Main lines, by angle (10° ≤ 2θ ≤ 90°):
h k l	d [Å]	2theta	I_rel
1 1 2	2.801	31.9	20
2 1 0	2.781	32.2	100
2 1 -2	2.765	32.4	46
2 0 -3	2.739	32.7	16
0 2 0	2.720	32.9	52
0 1 3	2.674	33.5	52
1 0 3	2.471	36.4	14
2 2 -3	1.929	47.1	14
2 3 0	1.582	58.3	16
4 2 -2	1.455	64.0	14

Record 4
Computed X-ray powder pattern
Compound: Y3Ho2Tm8
Radiation: Cu Kα X-rays
Structure: a crystal structure in Alexandria, relaxed with PBE

Structure:
Unit cell a=6.7580 b=8.7244 c=14.7740 alpha=88.46 beta=77.61 gamma=73.73
Space group P-1 (No. 2)
Asymmetric unit:
Y (0.0000, 0.0000, 0.0000) x1
Y (0.0000, 0.5000, 0.5000) x1
Y (0.0534, 0.3925, 0.7235) x2
Y (0.2773, 0.9358, 0.1879) x2
Ho (0.2615, 0.2988, 0.9285) x2
Ho (0.2721, 0.2139, 0.3450) x2
Tm (0.0035, 0.8982, 0.4126) x2
Tm (0.0650, 0.6861, 0.8476) x2
Tm (0.2494, 0.0112, 0.7621) x2
Tm (0.2589, 0.6053, 0.0642) x2
Tm (0.2649, 0.6947, 0.6104) x2
Tm (0.4498, 0.5614, 0.2689) x2
Tm (0.4712, 0.1662, 0.5684) x2
Tm (0.4899, 0.2331, 0.1134) x2

Main lines, by angle (10° ≤ 2θ ≤ 90°):
h k l	d [Å]	2theta	I_rel
2 0 3	2.958	30.2	12
1 3 0	2.867	31.2	15
1 1 5	2.796	32.0	13
0 2 -4	2.779	32.2	100
2 2 3	2.744	32.6	27
2 -1 2	2.729	32.8	65
0 3 1	2.721	32.9	25
0 1 5	2.698	33.2	32
2 3 0	2.466	36.4	14
4 0 0	1.584	58.3	17

Record 5
Computed X-ray powder pattern
Compound: Y6Ho8Tm
Radiation: Cu Kα X-rays
Structure: a crystal structure in Alexandria, relaxed with PBE

Structure:
Unit cell a=6.1353 b=8.6746 c=9.3566 alpha=107.96 beta=96.24 gamma=90.14
Space group P-1 (No. 2)
Asymmetric unit:
Y (0.0347, 0.0666, 0.2009) x2
Y (0.1680, 0.3334, 0.9995) x2
Y (0.3010, 0.6008, 0.7998) x2
Ho (0.0997, 0.2000, 0.5990) x2
Ho (0.2335, 0.4680, 0.4010) x2
Ho (0.3670, 0.7350, 0.2017) x2
Ho (0.4332, 0.8672, 0.5993) x2
Tm (0.5000, 0.0000, 0.0000) x1

Main lines, by angle (10° ≤ 2θ ≤ 90°):
h k l	d [Å]	2theta	I_rel
1 1 2	2.890	30.9	100
2 2 -1	2.503	35.9	50
2 -4 1	1.773	51.6	6
3 0 2	1.769	51.7	30
4 1 -1	1.511	61.4	18
3 3 1	1.509	61.5	25
4 -2 0	1.446	64.4	6
2 2 4	1.444	64.5	6
4 1 4	1.148	84.4	7
5 2 1	1.119	87.1	9

Record 6
Computed X-ray powder pattern
Compound: YHoTm4
Radiation: Cu Kα X-rays
Structure: a crystal structure in Alexandria, relaxed with PBE

Structure:
Unit cell a=3.5074 b=4.9599 c=10.5177 alpha=90.02 beta=90.23 gamma=90.12
Space group P-1 (No. 2)
Asymmetric unit:
Y (0.0000, 0.0000, 0.0000) x1
Ho (0.5000, 0.5000, 0.5000) x1
Tm (0.9997, 0.0000, 0.3338) x2
Tm (0.5001, 0.5000, 0.1683) x2

Main lines, by angle (10° ≤ 2θ ≤ 90°):
h k l	d [Å]	2theta	I_rel
1 1 0	2.863	31.2	100
0 2 0	2.482	36.2	34
1 0 3	2.475	36.3	17
2 0 0	1.754	52.1	24
1 2 3	1.752	52.2	12
2 1 -3	1.497	62.0	18
1 3 0	1.495	62.1	18
2 1 3	1.492	62.2	7
2 -2 0	1.432	65.1	6
3 1 0	1.138	85.3	7

Record 7
Computed X-ray powder pattern
Compound: Y2Ho5Tm6
Radiation: Cu Kα X-rays
Structure: a crystal structure in Alexandria, relaxed with PBE

Structure:
Unit cell a=11.5488 b=19.9630 c=3.5326 alpha=90.00 beta=90.00 gamma=90.00
Space group Pbam (No. 55)
Asymmetric unit:
Y (0.1651, 0.2111, 0.0000) x4
Ho (0.0000, 0.5000, 0.5000) x2
Ho (0.0931, 0.7746, 0.5000) x4
Ho (0.1991, 0.0498, 0.5000) x4
Tm (0.0587, 0.9196, 0.0000) x4
Tm (0.0821, 0.6322, 0.0000) x4
Tm (0.1740, 0.3676, 0.5000) x4

Main lines, by angle (10° ≤ 2θ ≤ 90°):
h k l	d [Å]	2theta	I_rel
0 4 1	2.884	31.0	29
4 1 0	2.857	31.3	54
1 4 1	2.797	32.0	45
1 7 0	2.770	32.3	97
2 3 1	2.745	32.6	100
2 4 1	2.580	34.8	40
3 6 0	2.517	35.7	26
3 3 1	2.424	37.1	29
6 4 1	1.601	57.6	24
1 7 2	1.489	62.4	31

Record 8
Computed X-ray powder pattern
Compound: Y3Ho3Tm
Radiation: Cu Kα X-rays
Structure: a crystal structure in Alexandria, relaxed with PBE

Structure:
Unit cell a=9.8245 b=9.8245 c=8.1821 alpha=90.00 beta=90.00 gamma=120.00
Space group R3m (No. 160, hexagonal axes)
Asymmetric unit:
Y (0.2161, 0.4322, 0.0000) x9
Ho (0.1979, 0.3957, 0.5739) x9
Tm (0.0000, 0.0000, 0.6315) x3

Main lines, by angle (10° ≤ 2θ ≤ 90°):
h k l	d [Å]	2theta	I_rel
1 0 1	5.898	15.0	34
0 2 1	3.774	23.6	26
2 1 1	2.993	29.9	53
2 0 2	2.949	30.3	100
3 0 0	2.836	31.5	77
0 0 3	2.727	32.8	29
1 2 2	2.528	35.5	79
2 2 0	2.456	36.6	36
0 3 3	1.966	46.2	23
5 0 2	1.571	58.8	21

Record 9
Computed X-ray powder pattern
Compound: Y5Ho2Tm6
Radiation: Cu Kα X-rays
Structure: a crystal structure in Alexandria, relaxed with PBE

Structure:
Unit cell a=11.5179 b=20.1061 c=3.5523 alpha=90.00 beta=90.00 gamma=90.00
Space group Pbam (No. 55)
Asymmetric unit:
Y (0.0000, 0.0000, 0.0000) x2
Y (0.0886, 0.2731, 0.0000) x4
Y (0.1977, 0.5504, 0.0000) x4
Ho (0.1676, 0.7097, 0.5000) x4
Tm (0.0609, 0.4191, 0.5000) x4
Tm (0.0829, 0.1315, 0.5000) x4
Tm (0.1719, 0.8633, 0.0000) x4

Main lines, by angle (10° ≤ 2θ ≤ 90°):
h k l	d [Å]	2theta	I_rel
1 6 0	3.217	27.7	42
4 1 0	2.850	31.4	65
1 4 1	2.813	31.8	49
1 7 0	2.787	32.1	63
3 5 0	2.777	32.2	22
2 3 1	2.756	32.5	100
2 4 1	2.591	34.6	36
3 3 1	2.430	37.0	33
0 0 2	1.776	51.4	22
1 7 2	1.497	62.0	30

Record 10
Computed X-ray powder pattern
Compound: Y2Ho3Tm8
Radiation: Cu Kα X-rays
Structure: a crystal structure in Alexandria, relaxed with PBE

Structure:
Unit cell a=5.5280 b=6.7191 c=22.0606 alpha=90.00 beta=90.00 gamma=90.00
Space group Immm (No. 71)
Asymmetric unit:
Y (0.0000, 0.0000, 0.2231) x4
Ho (0.0000, 0.2649, 0.5000) x4
Ho (0.0000, 0.5000, 0.0000) x2
Tm (0.0000, 0.0000, 0.0746) x4
Tm (0.0000, 0.2610, 0.3485) x8
Tm (0.0000, 0.5000, 0.1828) x4

Main lines, by angle (10° ≤ 2θ ≤ 90°):
h k l	d [Å]	2theta	I_rel
0 0 6	3.681	24.2	34
1 2 1	2.847	31.4	100
1 1 6	2.786	32.1	42
2 0 0	2.764	32.4	49
1 0 7	2.738	32.7	43
0 2 6	2.480	36.2	13
1 2 5	2.406	37.4	16
2 0 6	2.210	40.8	18
2 2 6	1.845	49.4	14
3 2 1	1.611	57.2	17

Record 11
Computed X-ray powder pattern
Compound: YHoTm3
Radiation: Cu Kα X-rays
Structure: a crystal structure in Alexandria, relaxed with PBE

Structure:
Unit cell a=6.2086 b=6.6252 c=9.0859 alpha=107.60 beta=90.02 gamma=117.89
Space group P-1 (No. 2)
Asymmetric unit:
Y (0.0335, 0.3988, 0.1503) x2
Ho (0.3646, 0.3990, 0.6495) x2
Tm (0.1690, 0.0017, 0.2511) x2
Tm (0.2346, 0.8007, 0.5496) x2
Tm (0.4331, 0.2001, 0.9497) x2

Main lines, by angle (10° ≤ 2θ ≤ 90°):
h k l	d [Å]	2theta	I_rel
-1 1 2	3.105	28.7	24
0 2 -2	2.787	32.1	24
2 0 -1	2.713	33.0	100
1 1 -4	2.074	43.6	15
0 1 4	1.793	50.9	20
2 2 -3	1.595	57.8	20
3 1 0	1.508	61.5	22
-2 3 3	1.496	62.0	14
-5 4 1	1.148	84.3	8
0 5 0	1.100	89.0	8

Record 12
Computed X-ray powder pattern
Compound: Y8Ho3Tm
Radiation: Cu Kα X-rays
Structure: a crystal structure in Alexandria, relaxed with PBE

Structure:
Unit cell a=6.9421 b=11.5726 c=9.8641 alpha=90.00 beta=90.00 gamma=90.00
Space group Cmmm (No. 65)
Asymmetric unit:
Y (0.0000, 0.2492, 0.1870) x8
Y (0.2500, 0.0000, 0.3125) x8
Ho (0.0000, 0.5000, 0.0000) x2
Ho (0.2500, 0.2500, 0.5000) x4
Tm (0.0000, 0.0000, 0.0000) x2

Main lines, by angle (10° ≤ 2θ ≤ 90°):
h k l	d [Å]	2theta	I_rel
0 2 1	4.991	17.8	27
2 0 1	3.274	27.2	63
0 4 0	2.893	30.9	50
0 2 3	2.859	31.3	89
2 2 2	2.548	35.2	100
2 4 1	2.168	41.7	40
2 0 5	1.715	53.4	19
2 6 2	1.595	57.8	24
4 2 3	1.484	62.6	24
2 4 5	1.475	63.0	23